Ho3P2Pd2Rh5: simulated PXRD pattern (λ = 1.5418 Å (Cu Kα)), based on a DFT-relaxed cell (PBE, Alexandria).

Crystal structure
a = 3.9776 Å, b = 3.9776 Å, c = 26.1326 Å
α = 90.00°, β = 90.00°, γ = 90.00°
Space group I4/mmm (No. 139)
One atom of each set of equivalent atoms:
Ho1 0.0000 0.0000 0.0000 x2
Ho2 0.0000 0.0000 0.1681 x4
P1 0.0000 0.0000 0.3715 x4
Pd1 0.0000 0.0000 0.2796 x4
Rh1 0.0000 0.0000 0.5000 x2
Rh2 0.0000 0.5000 0.0826 x8

Most intense lines, 10° ≤ 2θ ≤ 90°, low angle first:
| (hkl) | two_theta | intensity |
| --- | --- | --- |
| 1 1 0 | 31.82 | 19.0 |
| 1 1 2 | 32.57 | 18.2 |
| 1 0 7 | 32.90 | 22.4 |
| 1 1 4 | 34.73 | 26.4 |
| 1 1 6 | 38.09 | 100.0 |
| 1 0 9 | 38.38 | 30.2 |
| 1 0 11 | 44.42 | 18.2 |
| 2 0 0 | 45.61 | 57.9 |
| 2 0 12 | 63.33 | 17.6 |
| 2 2 0 | 66.49 | 18.5 |
| 1 1 18 | 73.39 | 23.9 |
| 3 1 6 | 79.28 | 23.4 |